No. 1
Theoretical powder X-ray diffraction pattern
Compound: In2Ag8Hg
Radiation: copper Kα
Structure: the GGA-PBE geometry in Alexandria

Cell and atoms:
```
data_In2Ag8Hg
_chemical_formula_sum 'In4 Ag16 Hg2'
_space_group_name_H-M_alt 'C 1 2/m 1'
_space_group_IT_number 12
_cell_length_a 15.2850
_cell_length_b 4.2736
_cell_length_c 6.7337
_cell_angle_alpha 90.00
_cell_angle_beta 106.49
_cell_angle_gamma 90.00
loop_
_space_group_symop_operation_xyz
'x,y,z'
'-x,-y,-z'
'-x,y,-z'
'x,-y,z'
'x+1/2,y+1/2,z'
'-x+1/2,-y+1/2,-z'
'-x+1/2,y+1/2,-z'
'x+1/2,-y+1/2,z'
loop_
_atom_site_label
_atom_site_type_symbol
_atom_site_fract_x
_atom_site_fract_y
_atom_site_fract_z
In1 In 0.2227 0.0000 0.1467
Ag1 Ag 0.0435 0.0000 0.2247
Ag2 Ag 0.0894 0.5000 0.9553
Ag3 Ag 0.1381 0.0000 0.6867
Ag4 Ag 0.1807 0.5000 0.4125
Hg1 Hg 0.0000 0.5000 0.5000
```

Top 10 peaks for 2θ from 10° to 90°, by intensity:
2θ (°)	I_rel
36.51	100
36.77	99
42.26	66
43.16	31
73.75	24
61.31	21
62.02	20
73.56	12
73.31	12
75.08	11



No. 2
Theoretical powder X-ray diffraction pattern
Compound: Li2InAgHg2
Radiation: copper Kα
Structure: the GGA-PBE geometry in Alexandria

Cell and atoms:
```
data_Li2InAgHg2
_chemical_formula_sum 'Li8 In4 Ag4 Hg8'
_space_group_name_H-M_alt 'I b a m'
_space_group_IT_number 72
_space_group_name_Hall '-I 2 2c'
_cell_length_a 5.8151
_cell_length_b 14.5556
_cell_length_c 6.0141
_cell_angle_alpha 90.00
_cell_angle_beta 90.00
_cell_angle_gamma 90.00
loop_
_atom_site_label
_atom_site_type_symbol
_atom_site_fract_x
_atom_site_fract_y
_atom_site_fract_z
Li1 Li 0.2343 0.1499 0.0000
In1 In 0.0000 0.5000 0.2500
Ag1 Ag 0.0000 0.0000 0.2500
Hg1 Hg 0.2503 0.1645 0.5000
```

Top 10 peaks for 2θ from 10° to 90°, by intensity:
2θ (°)	I_rel
24.56	100
32.62	46
43.29	40
32.21	39
33.18	36
58.27	33
37.06	31
38.85	27
39.68	26
49.71	16